Entry 1:
The following is a calculated PXRD pattern of HfO2. It was derived from a crystal structure in the Materials Project, relaxed with GGA-PBE, using Cu Kα (λ = 1.5418 Å).
Peak positions follow from Bragg's law for the DFT cell and can differ from measured ones.

Atomic structure:
Cell lengths 4.8703, 5.8259, 16.0365 Å; angles 90.00, 90.00, 90.00 degrees
Fractional positions:
Hf  0.0000  0.0221  0.2500
Hf  0.0000  0.9779  0.7500
Hf  0.0028  0.3465  0.0841
Hf  0.0028  0.6535  0.5841
Hf  0.4972  0.1535  0.5841
Hf  0.4972  0.8465  0.0841
Hf  0.5000  0.4779  0.7500
Hf  0.5000  0.5221  0.2500
Hf  0.5028  0.1535  0.9159
Hf  0.5028  0.8465  0.4159
Hf  0.9972  0.3465  0.4159
Hf  0.9972  0.6535  0.9159
O  0.1999  0.3686  0.5308
O  0.1999  0.6314  0.0308
O  0.2074  0.0673  0.3633
O  0.2074  0.9327  0.8633
O  0.2194  0.3092  0.1962
O  0.2194  0.6908  0.6962
O  0.2806  0.1908  0.6962
O  0.2806  0.8092  0.1962
O  0.2926  0.4327  0.8633
O  0.2926  0.5673  0.3633
O  0.3001  0.1314  0.0308
O  0.3001  0.8686  0.5308
O  0.6999  0.1314  0.4692
O  0.6999  0.8686  0.9692
O  0.7074  0.4327  0.6367
O  0.7074  0.5673  0.1367
O  0.7194  0.1908  0.8038
O  0.7194  0.8092  0.3038
O  0.7806  0.3092  0.3038
O  0.7806  0.6908  0.8038
O  0.7926  0.0673  0.1367
O  0.7926  0.9327  0.6367
O  0.8001  0.3686  0.9692
O  0.8001  0.6314  0.4692

The 10 most intense peaks (15 to 90 degrees two-theta), by intensity:
2θ 26.31, I 100; 2θ 32.75, I 68; 2θ 29.16, I 66; 2θ 51.81, I 50; 2θ 24.46, I 48; 2θ 33.53, I 40; 2θ 36.92, I 38; 2θ 35.08, I 34; 2θ 50.72, I 34; 2θ 50.61, I 31

***

Entry 2:
The following is a calculated PXRD pattern of Cr2CuS4. It was derived from a crystal structure in the Materials Project, relaxed with GGA-PBE, using Cu Kα (λ = 1.5418 Å).
Peak positions follow from Bragg's law for the DFT cell and can differ from measured ones.

Atomic structure:
Cell lengths 10.7579, 3.4268, 12.2376 Å; angles 90.00, 90.00, 90.00 degrees
Fractional positions:
Cr  0.0468  0.2500  0.1241
Cr  0.1025  0.2500  0.5869
Cr  0.3975  0.7500  0.0869
Cr  0.4532  0.7500  0.6241
Cr  0.5468  0.2500  0.3759
Cr  0.6025  0.2500  0.9131
Cr  0.8975  0.7500  0.4131
Cr  0.9532  0.7500  0.8759
Cu  0.2352  0.7500  0.8390
Cu  0.2648  0.2500  0.3389
Cu  0.7352  0.7500  0.6610
Cu  0.7648  0.2500  0.1610
S  0.0713  0.7500  0.7148
S  0.0950  0.2500  0.9371
S  0.1167  0.7500  0.4495
S  0.1866  0.7500  0.1636
S  0.3134  0.2500  0.6636
S  0.3833  0.2500  0.9495
S  0.4050  0.7500  0.4371
S  0.4287  0.2500  0.2148
S  0.5713  0.7500  0.7852
S  0.5950  0.2500  0.5629
S  0.6167  0.7500  0.0505
S  0.6866  0.7500  0.3364
S  0.8134  0.2500  0.8364
S  0.8833  0.2500  0.5505
S  0.9050  0.7500  0.0629
S  0.9287  0.2500  0.2852

The 10 most intense peaks (15 to 90 degrees two-theta), by intensity:
2θ 42.71, I 100; 2θ 28.86, I 93; 2θ 35.21, I 91; 2θ 37.02, I 62; 2θ 53.48, I 57; 2θ 31.05, I 56; 2θ 43.41, I 53; 2θ 29.19, I 50; 2θ 48.47, I 48; 2θ 52.59, I 47

***

Entry 3:
The following is a calculated PXRD pattern of Sr2LuNbO6. It was derived from a crystal structure in the Materials Project, relaxed with GGA-PBE, using Cu Kα (λ = 1.5418 Å).
Peak positions follow from Bragg's law for the DFT cell and can differ from measured ones.

Atomic structure:
Cell lengths 5.8912, 5.8912, 5.8912 Å; angles 60.00, 60.00, 60.00 degrees
Fractional positions:
Sr  0.2500  0.2500  0.2500
Sr  0.7500  0.7500  0.7500
Lu  0.0000  0.0000  0.0000
Nb  0.5000  0.5000  0.5000
O  0.2591  0.2591  0.7409
O  0.2591  0.7409  0.2591
O  0.2591  0.7409  0.7409
O  0.7409  0.2591  0.2591
O  0.7409  0.2591  0.7409
O  0.7409  0.7409  0.2591

The 10 most intense peaks (15 to 90 degrees two-theta), by intensity:
2θ 30.34, I 100; 2θ 53.91, I 40; 2θ 43.45, I 32; 2θ 87.65, I 22; 2θ 63.13, I 20; 2θ 71.64, I 18; 2θ 21.33, I 12; 2θ 79.75, I 6; 2θ 18.45, I 6; 2θ 35.74, I 5

***

Entry 4:
The following is a calculated PXRD pattern of Li5Cu3Te2O10. It was derived from a crystal structure in the Materials Project, relaxed with GGA-PBE, using Cu Kα (λ = 1.5418 Å).
Peak positions follow from Bragg's law for the DFT cell and can differ from measured ones.

Atomic structure:
Cell lengths 5.4381, 5.6227, 8.1850 Å; angles 98.92, 108.77, 105.68 degrees
Fractional positions:
Li  0.0000  0.0000  0.0000
Li  0.0902  0.2152  0.6826
Li  0.2688  0.6044  0.1240
Li  0.7312  0.3956  0.8760
Li  0.9098  0.7848  0.3174
Cu  0.2676  0.3612  0.3914
Cu  0.5000  0.0000  0.5000
Cu  0.7324  0.6388  0.6086
Te  0.3646  0.8055  0.8041
Te  0.6354  0.1945  0.1959
O  0.0866  0.8305  0.5968
O  0.0929  0.5912  0.8675
O  0.3384  0.9664  0.2487
O  0.3391  0.1286  0.9461
O  0.4504  0.5127  0.7110
O  0.5496  0.4873  0.2890
O  0.6609  0.8714  0.0539
O  0.6616  0.0336  0.7513
O  0.9071  0.4088  0.1325
O  0.9134  0.1695  0.4032

The 10 most intense peaks (15 to 90 degrees two-theta), by intensity:
2θ 17.96, I 100; 2θ 35.84, I 62; 2θ 18.34, I 58; 2θ 23.24, I 39; 2θ 29.46, I 37; 2θ 44.00, I 35; 2θ 42.56, I 31; 2θ 20.31, I 29; 2θ 35.54, I 26; 2θ 33.59, I 22

***

Entry 5:
The following is a calculated PXRD pattern of NpPt3. It was derived from a crystal structure in the Materials Project, relaxed with GGA-PBE, using Cu Kα (λ = 1.5418 Å).
Peak positions follow from Bragg's law for the DFT cell and can differ from measured ones.

Atomic structure:
Cell lengths 5.7457, 5.7457, 4.9872 Å; angles 90.00, 90.00, 120.00 degrees
Fractional positions:
Np  0.3333  0.6667  0.2500
Np  0.6667  0.3333  0.7500
Pt  0.1657  0.3314  0.7500
Pt  0.1657  0.8343  0.7500
Pt  0.3314  0.1657  0.2500
Pt  0.6686  0.8343  0.7500
Pt  0.8343  0.1657  0.2500
Pt  0.8343  0.6686  0.2500

The 10 most intense peaks (15 to 90 degrees two-theta), by intensity:
2θ 40.52, I 100; 2θ 36.05, I 53; 2θ 76.55, I 24; 2θ 67.80, I 23; 2θ 64.92, I 17; 2θ 51.92, I 17; 2θ 79.39, I 15; 2θ 87.67, I 4; 2θ 87.52, I 4; 2θ 76.39, I 4

***

Entry 6:
The following is a calculated PXRD pattern of NdInPd2. It was derived from a crystal structure in the Materials Project, relaxed with GGA-PBE, using Cu Kα (λ = 1.5418 Å).
Peak positions follow from Bragg's law for the DFT cell and can differ from measured ones.

Atomic structure:
Cell lengths 4.9174, 4.9174, 4.9174 Å; angles 60.00, 60.00, 60.00 degrees
Fractional positions:
Nd  0.0000  0.0000  0.0000
In  0.5000  0.5000  0.5000
Pd  0.2500  0.2500  0.2500
Pd  0.7500  0.7500  0.7500

The 7 most intense peaks (15 to 90 degrees two-theta), by intensity:
2θ 36.55, I 100; 2θ 65.79, I 35; 2θ 52.64, I 17; 2θ 89.03, I 16; 2θ 77.67, I 11; 2θ 25.62, I 1; 2θ 22.14, I 1